1.
Theoretical powder diffractogram
Compound: RbY2Cl7
Radiation: CuKα
Structure: the GGA-PBE geometry in Alexandria
Intensities are scaled so that the largest is 100.

Cell and atoms:
Lattice parameters (Å, degrees): 8.5112 13.7525 5.3133 90.00 90.00 90.00
Space group Cmmm (No. 65)
One atom of each set of equivalent atoms:
Rb (0.0000, 0.0000, 0.0000)
Y (0.0000, 0.3034, 0.5000)
Cl (0.0000, 0.2955, 0.0000)
Cl (0.0000, 0.5000, 0.5000)
Cl (0.1879, 0.1403, 0.5000)

Most intense lines, 10° ≤ 2θ ≤ 80°, in order of falling intensity:
two_theta  I/Imax
33.74  100.0
16.69  98.3
22.02  98.1
20.87  96.4
20.74  82.4
37.27  77.8
36.49  71.4
38.34  64.1
33.51  62.8
21.13  60.4
51.15  58.8
12.87  50.3



2.
Theoretical powder diffractogram
Compound: Ba3AlSb3
Radiation: CuKα
Structure: the GGA-PBE geometry in Alexandria
Intensities are scaled so that the largest is 100.

Cell and atoms:
Lattice parameters (Å, degrees): 21.4114 7.2772 14.2648 90.00 90.00 90.00
Space group Cmce (No. 64)
One atom of each set of equivalent atoms:
Ba (0.0000, 0.1857, 0.1471)
Ba (0.1745, 0.1958, 0.8712)
Al (0.0852, 0.0000, 0.5000)
Sb (0.0000, 0.2033, 0.3982)
Sb (0.1590, 0.2007, 0.6200)

Most intense lines, 10° ≤ 2θ ≤ 80°, in order of falling intensity:
two_theta  I/Imax
24.96  100.0
35.24  65.2
35.59  41.6
24.46  34.1
43.67  27.3
26.62  17.6
63.69  14.7
57.79  13.2
51.21  13.1
30.36  11.6
32.08  9.0
57.54  8.9



3.
Theoretical powder diffractogram
Compound: Tb4Dy19Y6
Radiation: CuKα
Structure: the GGA-PBE geometry in Alexandria
Intensities are scaled so that the largest is 100.

Cell and atoms:
Lattice parameters (Å, degrees): 12.4403 12.4403 12.4403 90.00 90.00 90.00
Space group I23 (No. 197)
One atom of each set of equivalent atoms:
Tb (0.1796, 0.1796, 0.8204)
Dy (0.0000, 0.0000, 0.0000)
Dy (0.0000, 0.0000, 0.2590)
Dy (0.0631, 0.2593, 0.2777)
Y (0.0000, 0.3716, 0.5000)

Most intense lines, 10° ≤ 2θ ≤ 80°, in order of falling intensity:
two_theta  I/Imax
30.49  100.0
36.84  54.7
28.70  54.4
35.35  36.0
26.81  32.8
54.18  25.0
60.46  23.1
33.80  18.5
51.98  17.9
61.46  16.1
41.04  16.0
49.71  14.1



4.
Theoretical powder diffractogram
Compound: K2NaMnI6
Radiation: CuKα
Structure: the GGA-PBE geometry in Alexandria
Intensities are scaled so that the largest is 100.

Cell and atoms:
Lattice parameters (Å, degrees): 7.9132 8.7630 13.8033 90.00 123.63 90.00
Space group P2_1/c (No. 14)
One atom of each set of equivalent atoms:
K (0.2187, 0.0958, 0.2572)
Na (0.0000, 0.0000, 0.5000)
Mn (0.5000, 0.0000, 0.0000)
I (0.1694, 0.1602, 0.9549)
I (0.2682, 0.6983, 0.9543)
I (0.3719, 0.0107, 0.7732)

Most intense lines, 10° ≤ 2θ ≤ 80°, in order of falling intensity:
two_theta  I/Imax
25.58  100.0
26.07  57.3
23.21  40.5
30.45  35.0
31.13  31.0
32.68  30.6
27.65  30.3
27.83  29.7
28.13  26.8
15.09  26.4
45.82  23.8
25.74  23.1



5.
Theoretical powder diffractogram
Compound: ReHPb2O6
Radiation: CuKα
Structure: the GGA-PBE geometry in Alexandria
Intensities are scaled so that the largest is 100.

Cell and atoms:
Lattice parameters (Å, degrees): 8.0029 9.0163 5.4876 90.00 129.22 90.00
Space group Cm (No. 8)
One atom of each set of equivalent atoms:
Re (0.0000, 0.0000, 0.0000)
H (0.3080, 0.0000, 0.6954)
Pb (0.4432, 0.2024, 0.3759)
O (0.0527, 0.2055, 0.0463)
O (0.2615, 0.0000, 0.0212)
O (0.2649, 0.5000, 0.5964)
O (0.3192, 0.0000, 0.5262)
O (0.3863, 0.5000, 0.1929)

Most intense lines, 10° ≤ 2θ ≤ 80°, in order of falling intensity:
two_theta  I/Imax
28.84  100.0
18.96  75.0
29.99  60.5
33.12  44.5
32.72  29.9
20.90  29.3
53.50  19.2
45.70  17.3
47.99  16.7
33.73  13.1
46.49  13.1
62.51  13.0



6.
Theoretical powder diffractogram
Compound: Cr4Co4Ni5
Radiation: CuKα
Structure: the GGA-PBE geometry in Alexandria
Intensities are scaled so that the largest is 100.

Cell and atoms:
Lattice parameters (Å, degrees): 9.0176 9.0176 3.5004 90.00 90.00 90.00
Space group I4/m (No. 87)
One atom of each set of equivalent atoms:
Cr (0.1605, 0.7653, 0.0000)
Co (0.0725, 0.3836, 0.0000)
Ni (0.0000, 0.0000, 0.0000)
Ni (0.0355, 0.1920, 0.5000)

Most intense lines, 10° ≤ 2θ ≤ 80°, in order of falling intensity:
two_theta  I/Imax
44.52  100.0
51.69  30.8
76.59  17.2
52.27  15.1
76.12  8.6



7.
Theoretical powder diffractogram
Compound: Sr2Al4GePd3
Radiation: CuKα
Structure: the GGA-PBE geometry in Alexandria
Intensities are scaled so that the largest is 100.

Cell and atoms:
Lattice parameters (Å, degrees): 4.3829 4.3829 10.6991 90.00 90.00 90.00
Space group P-4m2 (No. 115)
One atom of each set of equivalent atoms:
Sr (0.0000, 0.5000, 0.2482)
Al (0.0000, 0.0000, 0.5000)
Al (0.0000, 0.5000, 0.8657)
Al (0.5000, 0.5000, 0.5000)
Ge (0.5000, 0.5000, 0.0000)
Pd (0.0000, 0.0000, 0.0000)
Pd (0.0000, 0.5000, 0.6255)

Most intense lines, 10° ≤ 2θ ≤ 80°, in order of falling intensity:
two_theta  I/Imax
33.42  100.0
32.36  77.3
41.19  71.0
30.02  43.0
53.33  36.6
26.29  29.4
47.27  29.3
44.75  26.6
59.67  23.4
70.14  23.1
64.47  22.9
28.81  17.7



8.
Theoretical powder diffractogram
Compound: DyBeCo
Radiation: CuKα
Structure: the GGA-PBE geometry in Alexandria
Intensities are scaled so that the largest is 100.

Cell and atoms:
Lattice parameters (Å, degrees): 3.7952 3.7952 3.8759 90.00 90.00 120.00
Space group P-6m2 (No. 187)
One atom of each set of equivalent atoms:
Dy (0.0000, 0.0000, 0.0000)
Be (0.6667, 0.3333, 0.5000)
Co (0.3333, 0.6667, 0.5000)

Most intense lines, 10° ≤ 2θ ≤ 80°, in order of falling intensity:
two_theta  I/Imax
35.82  100.0
27.13  46.5
47.94  28.2
61.26  20.6
69.30  18.3
55.01  13.5
22.95  10.4
46.88  10.0
79.75  9.6
53.79  7.0
55.95  6.4
75.91  5.2



9.
Theoretical powder diffractogram
Compound: SrBi8Pd4
Radiation: CuKα
Structure: the GGA-PBE geometry in Alexandria
Intensities are scaled so that the largest is 100.

Cell and atoms:
Lattice parameters (Å, degrees): 7.0566 7.0566 29.1048 90.00 90.00 120.00
Space group R-3m (No. 166, hexagonal axes)
One atom of each set of equivalent atoms:
Sr (0.0000, 0.0000, 0.0000)
Bi (0.0000, 0.0000, 0.2372)
Bi (0.0009, 0.5005, 0.7648)
Pd (0.0000, 0.0000, 0.5000)
Pd (0.0000, 0.5000, 0.5000)

Most intense lines, 10° ≤ 2θ ≤ 80°, in order of falling intensity:
two_theta  I/Imax
31.76  100.0
38.47  43.7
29.88  32.9
51.82  28.5
36.49  28.0
45.34  26.7
18.29  22.5
62.10  21.3
72.40  17.4
68.52  10.4
46.82  10.3
65.42  10.2



10.
Theoretical powder diffractogram
Compound: Pm12Si7Pt
Radiation: CuKα
Structure: the GGA-PBE geometry in Alexandria
Intensities are scaled so that the largest is 100.

Cell and atoms:
Lattice parameters (Å, degrees): 14.5531 14.5531 9.0138 90.00 90.00 120.00
Space group R-3 (No. 148, hexagonal axes)
One atom of each set of equivalent atoms:
Pm (0.0314, 0.4443, 0.3140)
Pm (0.0449, 0.1747, 0.2703)
Si (0.0000, 0.0000, 0.5000)
Si (0.0467, 0.1849, 0.9305)
Pt (0.0000, 0.0000, 0.0000)

Most intense lines, 10° ≤ 2θ ≤ 80°, in order of falling intensity:
two_theta  I/Imax
27.37  100.0
32.41  64.6
32.55  38.8
27.24  37.9
44.91  28.4
29.73  24.7
54.80  19.1
36.78  16.2
38.87  15.5
12.11  14.6
44.67  13.5
30.04  12.9



11.
Theoretical powder diffractogram
Compound: Na5MnTe5
Radiation: CuKα
Structure: the GGA-PBE geometry in Alexandria
Intensities are scaled so that the largest is 100.

Cell and atoms:
Lattice parameters (Å, degrees): 14.4393 6.0702 8.7809 90.00 109.11 90.00
Space group C2/m (No. 12)
One atom of each set of equivalent atoms:
Na (0.0000, 0.0000, 0.0000)
Na (0.1782, 0.5000, 0.3525)
Na (0.1961, 0.5000, 0.8156)
Mn (0.0000, 0.0000, 0.5000)
Te (0.0000, 0.5000, 0.5000)
Te (0.1323, 0.0000, 0.3465)
Te (0.1460, 0.0000, 0.7971)

Most intense lines, 10° ≤ 2θ ≤ 80°, in order of falling intensity:
two_theta  I/Imax
29.43  100.0
10.66  92.9
28.61  88.8
25.04  80.3
15.98  78.0
27.90  77.8
24.46  71.6
41.51  63.8
41.00  54.3
36.11  40.3
13.85  31.7
51.38  28.2



12.
Theoretical powder diffractogram
Compound: Dy2Zn3Ga5
Radiation: CuKα
Structure: the GGA-PBE geometry in Alexandria
Intensities are scaled so that the largest is 100.

Cell and atoms:
Lattice parameters (Å, degrees): 10.7606 11.7581 5.8574 90.00 90.00 90.00
Space group Ibam (No. 72)
One atom of each set of equivalent atoms:
Dy (0.2476, 0.1254, 0.0000)
Zn (0.0000, 0.5000, 0.2500)
Zn (0.1351, 0.1271, 0.5000)
Ga (0.0000, 0.0000, 0.2500)
Ga (0.0000, 0.2540, 0.2500)
Ga (0.1429, 0.3801, 0.0000)

Most intense lines, 10° ≤ 2θ ≤ 80°, in order of falling intensity:
two_theta  I/Imax
33.01  100.0
34.78  88.8
34.88  88.4
43.63  87.1
47.60  57.9
55.71  22.2
55.85  22.1
66.60  20.7
66.47  20.6
74.51  18.7
74.33  18.6
60.50  17.5